(1)
Diffraction record for PuTh4In5. The PXRD pattern is simulated, not measured: it uses a structure optimized by DFT (PBE) and Cu Kα.
Kinematic intensities with the Lorentz-polarization factor, no thermal factor.

Structure:
```
data_PuTh4In5
_symmetry_space_group_name_H-M 'P 4/m m m'
_symmetry_Int_Tables_number 123
_symmetry_space_group_name_Hall '-P 4 2'
_cell_length_a 4.1799
_cell_length_b 4.1799
_cell_length_c 16.3201
_cell_angle_alpha 90.00
_cell_angle_beta 90.00
_cell_angle_gamma 90.00
loop_
_atom_site_label
_atom_site_fract_x
_atom_site_fract_y
_atom_site_fract_z
Pu1 0.0000 0.0000 0.0000
Th1 0.0000 0.0000 0.1943
Th2 0.0000 0.0000 0.3988
In1 0.5000 0.5000 0.0957
In2 0.5000 0.5000 0.2971
In3 0.5000 0.5000 0.5000
```

Largest 6 diffraction maxima, in order of rising 2θ, 2θ = 15–90°:
21.3°, 4.180 Å, I = 16.6; 30.2°, 2.956 Å, I = 73.5; 34.9°, 2.573 Å, I = 100.0; 43.3°, 2.090 Å, I = 27.9; 56.8°, 1.622 Å, I = 49.8; 65.3°, 1.429 Å, I = 15.7

---

(2)
Diffraction record for HoFe6Ge6. The PXRD pattern is simulated, not measured: it uses a structure optimized by DFT (PBE) and Cu Kα.
Kinematic intensities with the Lorentz-polarization factor, no thermal factor.

Structure:
```
data_HoFe6Ge6
_symmetry_space_group_name_H-M 'C m c m'
_symmetry_Int_Tables_number 63
_symmetry_space_group_name_Hall '-C 2c 2'
_cell_length_a 8.1354
_cell_length_b 17.6640
_cell_length_c 5.1117
_cell_angle_alpha 90.00
_cell_angle_beta 90.00
_cell_angle_gamma 90.00
loop_
_atom_site_label
_atom_site_fract_x
_atom_site_fract_y
_atom_site_fract_z
Ho1 0.0000 0.1271 0.2500
Fe1 0.2491 0.0000 0.0000
Fe2 0.2499 0.1250 0.7500
Fe3 0.2500 0.2500 0.0000
Ge1 0.0000 0.0422 0.7500
Ge2 0.0000 0.2108 0.7500
Ge3 0.0000 0.2954 0.2500
Ge4 0.0000 0.4593 0.2500
Ge5 0.1537 0.3756 0.7500
```

Largest 6 diffraction maxima, in order of rising 2θ, 2θ = 15–90°:
35.2°, 2.553 Å, I = 71.6; 40.8°, 2.211 Å, I = 50.9; 41.8°, 2.162 Å, I = 100.0; 44.5°, 2.034 Å, I = 24.4; 46.8°, 1.942 Å, I = 38.8; 80.2°, 1.197 Å, I = 26.0

---

(3)
Diffraction record for BC11. The PXRD pattern is simulated, not measured: it uses a structure optimized by DFT (PBE) and Cu Kα.
Kinematic intensities with the Lorentz-polarization factor, no thermal factor.

Structure:
```
data_BC11
_symmetry_space_group_name_H-M 'C 1 m 1'
_symmetry_Int_Tables_number 8
_cell_length_a 11.2126
_cell_length_b 2.5276
_cell_length_c 5.0980
_cell_angle_alpha 90.00
_cell_angle_beta 103.21
_cell_angle_gamma 90.00
loop_
_symmetry_equiv_pos_as_xyz
'x,y,z'
'x,-y,z'
'x+1/2,y+1/2,z'
'x+1/2,-y+1/2,z'
loop_
_atom_site_label
_atom_site_fract_x
_atom_site_fract_y
_atom_site_fract_z
B1 0.0000 0.0000 0.0000
C1 0.0825 0.0000 0.2987
C2 0.0830 0.0000 0.7859
C3 0.1629 0.5000 0.3350
C4 0.1642 0.5000 0.8283
C5 0.2445 0.5000 0.1251
C6 0.2473 0.5000 0.6223
C7 0.3275 0.0000 0.1648
C8 0.3293 0.0000 0.6641
C9 0.4038 0.0000 0.9536
C10 0.4142 0.0000 0.4575
C11 0.4971 0.5000 0.4984
```

Largest 6 diffraction maxima, in order of rising 2θ, 2θ = 15–90°:
43.3°, 2.088 Å, I = 99.0; 43.6°, 2.076 Å, I = 100.0; 74.2°, 1.278 Å, I = 51.3; 74.4°, 1.275 Å, I = 12.8; 75.2°, 1.264 Å, I = 12.5; 89.7°, 1.094 Å, I = 7.6

---

(4)
Diffraction record for Er5NiBi4. The PXRD pattern is simulated, not measured: it uses a structure optimized by DFT (PBE) and Cu Kα.
Kinematic intensities with the Lorentz-polarization factor, no thermal factor.

Structure:
```
data_Er5NiBi4
_symmetry_space_group_name_H-M 'I 4'
_symmetry_Int_Tables_number 79
_cell_length_a 9.7027
_cell_length_b 9.7027
_cell_length_c 6.2461
_cell_angle_alpha 90.00
_cell_angle_beta 90.00
_cell_angle_gamma 90.00
loop_
_symmetry_equiv_pos_as_xyz
'x,y,z'
'-y,x,z'
'-x,-y,z'
'y,-x,z'
'x+1/2,y+1/2,z+1/2'
'-y+1/2,x+1/2,z+1/2'
'-x+1/2,-y+1/2,z+1/2'
'y+1/2,-x+1/2,z+1/2'
loop_
_atom_site_label
_atom_site_fract_x
_atom_site_fract_y
_atom_site_fract_z
Er1 0.0000 0.0000 0.0000
Er2 0.0973 0.7192 0.6134
Ni1 0.0000 0.0000 0.5772
Bi1 0.0903 0.7000 0.1146
```

Largest 6 diffraction maxima, in order of rising 2θ, 2θ = 15–90°:
28.6°, 3.123 Å, I = 44.6; 29.1°, 3.068 Å, I = 100.0; 41.2°, 2.189 Å, I = 71.3; 41.6°, 2.170 Å, I = 36.1; 51.3°, 1.782 Å, I = 34.4; 75.7°, 1.256 Å, I = 19.2

---

(5)
Diffraction record for Zr2Ga2Ni15. The PXRD pattern is simulated, not measured: it uses a structure optimized by DFT (PBE) and Cu Kα.
Kinematic intensities with the Lorentz-polarization factor, no thermal factor.

Structure:
```
data_Zr2Ga2Ni15
_symmetry_space_group_name_H-M 'R -3 m'
_symmetry_Int_Tables_number 166
_symmetry_space_group_name_Hall '-R 3 2"'
_cell_length_a 8.2088
_cell_length_b 8.2088
_cell_length_c 12.1656
_cell_angle_alpha 90.00
_cell_angle_beta 90.00
_cell_angle_gamma 120.00
loop_
_atom_site_label
_atom_site_fract_x
_atom_site_fract_y
_atom_site_fract_z
Zr1 0.0000 0.0000 0.1483
Ga1 0.0000 0.0000 0.3945
Ni1 0.0000 0.3076 0.5000
Ni2 0.0000 0.5000 0.0000
Ni3 0.0041 0.5020 0.6550
```

Largest 6 diffraction maxima, in order of rising 2θ, 2θ = 15–90°:
38.0°, 2.370 Å, I = 43.6; 39.0°, 2.311 Å, I = 31.5; 44.1°, 2.052 Å, I = 61.9; 44.3°, 2.046 Å, I = 100.0; 44.7°, 2.028 Å, I = 35.0; 49.8°, 1.831 Å, I = 63.2

---

(6)
Diffraction record for LaNi5H7. The PXRD pattern is simulated, not measured: it uses a structure optimized by DFT (PBE) and Cu Kα.
Kinematic intensities with the Lorentz-polarization factor, no thermal factor.

Structure:
```
data_LaNi5H7
_symmetry_space_group_name_H-M 'P 63 m c'
_symmetry_Int_Tables_number 186
_symmetry_space_group_name_Hall 'P 6c -2c'
_cell_length_a 5.3595
_cell_length_b 5.3595
_cell_length_c 8.6740
_cell_angle_alpha 90.00
_cell_angle_beta 90.00
_cell_angle_gamma 120.00
loop_
_atom_site_label
_atom_site_fract_x
_atom_site_fract_y
_atom_site_fract_z
La1 0.0000 0.0000 0.0000
Ni1 0.0019 0.5010 0.2658
Ni2 0.3333 0.6667 0.0336
Ni3 0.3333 0.6667 0.5134
H1 0.0107 0.5053 0.9578
H2 0.1498 0.2996 0.2465
H3 0.3333 0.6667 0.7003
```

Largest 6 diffraction maxima, in order of rising 2θ, 2θ = 15–90°:
28.2°, 3.169 Å, I = 43.3; 33.4°, 2.680 Å, I = 29.9; 38.8°, 2.321 Å, I = 35.4; 39.5°, 2.280 Å, I = 100.0; 41.6°, 2.168 Å, I = 27.1; 63.9°, 1.457 Å, I = 22.9

---

What is the formula in the fifth record?
Zr2Ga2Ni15